Diffraction record for Na2Li3I6. The X-ray diffraction stick pattern is calculated, not measured: it uses a structure optimized by DFT (GGA-PBE) and Cu Kα (weighted mean of Kα1 and Kα2).

The 6 most intense peaks (10° ≤ 2θ ≤ 90°), sorted by position:
2θ = 21.78°, d = 4.080 Å, rel. 28, (1 0 0); 2θ = 24.91°, d = 3.575 Å, rel. 17, (0 0 6); 2θ = 25.13°, d = 3.543 Å, rel. 100, (1 0 3); 2θ = 38.21°, d = 2.355 Å, rel. 31, (1 1 0); 2θ = 46.15°, d = 1.967 Å, rel. 19, (1 1 6); 2θ = 46.28°, d = 1.962 Å, rel. 19, (0 2 3)

Cell and atoms:
Unit cell a=4.7109 b=4.7109 c=21.4478 alpha=90.00 beta=90.00 gamma=120.00
Space group P3m1 (No. 156)
Unique sites:
Na 0.0000 0.0000 0.0000
Na 0.3333 0.6667 0.3951
Li 0.3333 0.6667 0.7877
Li 0.6667 0.3333 0.2100
Li 0.6667 0.3333 0.5864
I 0.3333 0.6667 0.2511
I 0.3333 0.6667 0.6193
I 0.3333 0.6667 0.9174
I 0.6667 0.3333 0.0810
I 0.6667 0.3333 0.4565
I 0.6667 0.3333 0.7659

Diffraction record for NaLi2PmI6. The X-ray diffraction stick pattern is calculated, not measured: it uses a structure optimized by DFT (GGA-PBE) and Cu Kα (weighted mean of Kα1 and Kα2).

The 6 most intense peaks (10° ≤ 2θ ≤ 90°), sorted by position:
2θ = 25.07°, d = 3.552 Å, rel. 16, (0 0 6); 2θ = 26.22°, d = 3.399 Å, rel. 100, (1 1 3); 2θ = 34.27°, d = 2.617 Å, rel. 34, (1 1 6); 2θ = 40.36°, d = 2.234 Å, rel. 29, (3 0 0); 2θ = 44.88°, d = 2.020 Å, rel. 23, (2 -1 9); 2θ = 48.77°, d = 1.867 Å, rel. 15, (4 -2 3)

Cell and atoms:
Unit cell a=7.7405 b=7.7405 c=21.3096 alpha=90.00 beta=90.00 gamma=120.00
Space group R3 (No. 146, hexagonal axes)
Unique sites:
Na 0.0000 0.0000 0.0000
Li 0.0000 0.0000 0.1903
Li 0.0000 0.0000 0.6923
Pm 0.0000 0.0000 0.5074
I 0.0184 0.3397 0.7684
I 0.0381 0.6978 0.2673

Diffraction record for Na2LiScI6. The X-ray diffraction stick pattern is calculated, not measured: it uses a structure optimized by DFT (GGA-PBE) and Cu Kα (weighted mean of Kα1 and Kα2).

The 6 most intense peaks (10° ≤ 2θ ≤ 90°), sorted by position:
2θ = 26.01°, d = 3.426 Å, rel. 21, (0 0 6); 2θ = 26.28°, d = 3.391 Å, rel. 100, (1 1 3); 2θ = 34.84°, d = 2.575 Å, rel. 25, (1 1 6); 2θ = 40.01°, d = 2.253 Å, rel. 21, (3 0 0); 2θ = 46.04°, d = 1.971 Å, rel. 22, (2 -1 9); 2θ = 48.34°, d = 1.883 Å, rel. 13, (3 0 6)

Cell and atoms:
Unit cell a=7.8060 b=7.8060 c=20.5573 alpha=90.00 beta=90.00 gamma=120.00
Space group R3 (No. 146, hexagonal axes)
Unique sites:
Na 0.0000 0.0000 0.0000
Na 0.0000 0.0000 0.4925
Li 0.0000 0.0000 0.2918
Sc 0.0000 0.0000 0.8035
I 0.0158 0.6352 0.5549
I 0.0488 0.3403 0.3906

Diffraction record for NaSrLiI4. The X-ray diffraction stick pattern is calculated, not measured: it uses a structure optimized by DFT (GGA-PBE) and Cu Kα (weighted mean of Kα1 and Kα2).

The 6 most intense peaks (10° ≤ 2θ ≤ 90°), sorted by position:
2θ = 23.14°, d = 3.844 Å, rel. 40, (0 2 2); 2θ = 23.79°, d = 3.740 Å, rel. 38, (2 0 2); 2θ = 27.16°, d = 3.283 Å, rel. 100, (0 0 4); 2θ = 38.78°, d = 2.322 Å, rel. 53, (2 2 4); 2θ = 47.29°, d = 1.922 Å, rel. 14, (0 4 4); 2θ = 63.33°, d = 1.469 Å, rel. 24, (2 2 8)

Cell and atoms:
Unit cell a=9.094 b=9.479 c=13.146 alpha=90.00 beta=90.00 gamma=90.00
Space group Imma (No. 74)
Unique sites:
Na 0.250 0.250 0.250
Sr 0.000 0.000 0.000
Li 0.000 0.250 0.641
I 0.000 0.005 0.250
I 0.246 0.250 0.500

Diffraction record for NaLiTeI2. The X-ray diffraction stick pattern is calculated, not measured: it uses a structure optimized by DFT (GGA-PBE) and Cu Kα (weighted mean of Kα1 and Kα2).

The 6 most intense peaks (10° ≤ 2θ ≤ 90°), sorted by position:
2θ = 15.43°, d = 5.743 Å, rel. 14, (1 0 0); 2θ = 27.84°, d = 3.205 Å, rel. 100, (1 1 1); 2θ = 31.15°, d = 2.871 Å, rel. 39, (2 0 0); 2θ = 34.36°, d = 2.610 Å, rel. 15, (0 0 2); 2θ = 47.05°, d = 1.931 Å, rel. 24, (2 0 2); 2θ = 53.42°, d = 1.715 Å, rel. 32, (3 1 1)

Cell and atoms:
Unit cell a=5.743 b=5.743 c=5.220 alpha=90.00 beta=90.00 gamma=90.00
Space group P4/mmm (No. 123)
Unique sites:
Na 0.000 0.000 0.000
Li 0.500 0.500 0.500
Te 0.500 0.500 0.000
I 0.000 0.500 0.500

Diffraction record for Na2LiYI6. The X-ray diffraction stick pattern is calculated, not measured: it uses a structure optimized by DFT (GGA-PBE) and Cu Kα (weighted mean of Kα1 and Kα2).

The 6 most intense peaks (10° ≤ 2θ ≤ 90°), sorted by position:
2θ = 25.31°, d = 3.519 Å, rel. 17, (0 0 2); 2θ = 25.88°, d = 3.443 Å, rel. 100, (2 1 1); 2θ = 34.13°, d = 2.627 Å, rel. 30, (1 2 3); 2θ = 39.54°, d = 2.279 Å, rel. 25, (3 3 1); 2θ = 44.95°, d = 2.017 Å, rel. 23, (1 2 4); 2θ = 47.86°, d = 1.900 Å, rel. 14, (2 4 3)

Cell and atoms:
Unit cell a=7.894 b=7.895 c=8.382 alpha=61.93 beta=89.98 gamma=60.01
Space group P1 (No. 1)
Unique sites:
Na 0.000 0.000 0.000
Na 0.494 0.012 0.483
Li 0.296 0.406 0.892
Y 0.806 0.387 0.420
I 0.064 0.249 0.180
I 0.190 0.239 0.682
I 0.428 0.508 0.180
I 0.571 0.508 0.683
I 0.687 0.885 0.180
I 0.920 0.890 0.682